Record 1
Diffraction record for PrEuCdPd. The powder X-ray diffraction pattern is computed, not measured: it uses a cell relaxed with PBE and copper Kα.
Peak positions follow from Bragg's law for the DFT cell and can differ from measured ones.

Structure:
```
data_PrEuCdPd
_chemical_formula_sum 'Pr4 Eu4 Cd4 Pd4'
_space_group_name_H-M_alt 'F -4 3 m'
_space_group_IT_number 216
_space_group_name_Hall 'F -4 2 3'
_cell_length_a 7.5293
_cell_length_b 7.5293
_cell_length_c 7.5293
_cell_angle_alpha 90.00
_cell_angle_beta 90.00
_cell_angle_gamma 90.00
loop_
_atom_site_label
_atom_site_type_symbol
_atom_site_fract_x
_atom_site_fract_y
_atom_site_fract_z
Pr1 Pr 0.0000 0.0000 0.0000
Eu1 Eu 0.0000 0.0000 0.5000
Cd1 Cd 0.2500 0.2500 0.2500
Pd1 Pd 0.2500 0.2500 0.7500
```

Top 9 peaks for 10 to 90 degrees two-theta, by angle:
d/Å	Position (°2θ)	intensity	index
3.765	23.6	2	2 0 0
2.662	33.7	100	2 2 0
2.174	41.5	1	2 2 2
1.882	48.4	18	4 0 0
1.684	54.5	1	4 2 0
1.537	60.2	37	4 2 2
1.331	70.8	11	4 4 0
1.255	75.8	1	6 0 0
1.190	80.7	16	6 2 0

***

Record 2
Diffraction record for EuCdRh. The powder X-ray diffraction pattern is computed, not measured: it uses a cell relaxed with PBE and copper Kα.
Peak positions follow from Bragg's law for the DFT cell and can differ from measured ones.

Structure:
```
data_EuCdRh
_chemical_formula_sum 'Eu2 Cd2 Rh2'
_space_group_name_H-M_alt 'I 4 m m'
_space_group_IT_number 107
_space_group_name_Hall 'I 4 -2'
_cell_length_a 3.4742
_cell_length_b 3.4742
_cell_length_c 11.1899
_cell_angle_alpha 90.00
_cell_angle_beta 90.00
_cell_angle_gamma 90.00
loop_
_atom_site_label
_atom_site_type_symbol
_atom_site_fract_x
_atom_site_fract_y
_atom_site_fract_z
Eu1 Eu 0.0000 0.0000 0.0000
Cd1 Cd 0.0000 0.0000 0.7130
Rh1 Rh 0.0000 0.0000 0.3385
```

Top 12 peaks for 10 to 90 degrees two-theta, by angle:
d/Å	Position (°2θ)	intensity	index
3.318	26.9	9	1 0 1
2.797	32.0	7	0 0 4
2.542	35.3	100	1 0 3
2.457	36.6	53	1 1 0
1.881	48.4	7	1 0 5
1.846	49.4	8	1 1 4
1.737	52.7	18	2 0 0
1.485	62.5	11	1 1 6
1.434	65.0	33	2 1 3
1.271	74.7	7	2 0 6
1.106	88.4	7	3 0 3
1.099	89.1	8	3 1 0

***

Record 3
Diffraction record for TbSmEuCd. The powder X-ray diffraction pattern is computed, not measured: it uses a cell relaxed with PBE and copper Kα.
Peak positions follow from Bragg's law for the DFT cell and can differ from measured ones.

Structure:
```
data_TbSmEuCd
_chemical_formula_sum 'Tb4 Sm4 Eu4 Cd4'
_space_group_name_H-M_alt 'F -4 3 m'
_space_group_IT_number 216
_space_group_name_Hall 'F -4 2 3'
_cell_length_a 7.8577
_cell_length_b 7.8577
_cell_length_c 7.8577
_cell_angle_alpha 90.00
_cell_angle_beta 90.00
_cell_angle_gamma 90.00
loop_
_atom_site_label
_atom_site_type_symbol
_atom_site_fract_x
_atom_site_fract_y
_atom_site_fract_z
Tb1 Tb 0.0000 0.0000 0.0000
Sm1 Sm 0.0000 0.0000 0.5000
Eu1 Eu 0.2500 0.2500 0.7500
Cd1 Cd 0.2500 0.2500 0.2500
```

Top 9 peaks for 10 to 90 degrees two-theta, by angle:
d/Å	Position (°2θ)	intensity	index
4.537	19.6	1	1 1 1
3.929	22.6	1	2 0 0
2.778	32.2	100	2 2 0
2.369	38.0	1	3 1 1
1.964	46.2	18	4 0 0
1.604	57.5	38	4 2 2
1.389	67.4	12	4 4 0
1.242	76.7	16	6 2 0
1.134	85.6	4	4 4 4

***

Record 4
Diffraction record for CdF3. The powder X-ray diffraction pattern is computed, not measured: it uses a cell relaxed with PBE and copper Kα.
Peak positions follow from Bragg's law for the DFT cell and can differ from measured ones.

Structure:
```
data_CdF3
_chemical_formula_sum 'Cd4 F12'
_space_group_name_H-M_alt 'F m -3 m'
_space_group_IT_number 225
_space_group_name_Hall '-F 4 2 3'
_cell_length_a 5.6835
_cell_length_b 5.6835
_cell_length_c 5.6835
_cell_angle_alpha 90.00
_cell_angle_beta 90.00
_cell_angle_gamma 90.00
loop_
_atom_site_label
_atom_site_type_symbol
_atom_site_fract_x
_atom_site_fract_y
_atom_site_fract_z
Cd1 Cd 0.0000 0.0000 0.0000
F1 F 0.0000 0.0000 0.5000
F2 F 0.2500 0.2500 0.2500
```

Top 10 peaks for 10 to 90 degrees two-theta, by angle:
d/Å	Position (°2θ)	intensity	index
3.281	27.2	82	1 1 1
2.842	31.5	43	2 0 0
2.009	45.1	100	2 2 0
1.714	53.5	38	3 1 1
1.641	56.1	11	2 2 2
1.421	65.7	14	4 0 0
1.304	72.5	16	3 3 1
1.271	74.7	14	4 2 0
1.160	83.3	27	4 2 2
1.094	89.6	13	5 1 1